Record 1
Computed X-ray powder pattern of V3GeH2 for a wavelength of 1.5418 Å, from a cell relaxed with PBE.
Peak positions follow from Bragg's law for the DFT cell and can differ from measured ones.

Largest 10 diffraction maxima, by angle, 2θ = 10–90°:
34.75°, intensity 44; 37.54°, intensity 89; 38.91°, intensity 100; 39.74°, intensity 75; 42.49°, intensity 53; 45.53°, intensity 46; 49.40°, intensity 45; 50.16°, intensity 19; 52.91°, intensity 18; 73.34°, intensity 19

Structure:
```
V3GeH2
1.0
5.0523 0.0000 0.0000
0.0000 2.6929 0.0000
-0.5052 0.0000 9.0720
V Ge H
6 2 4
Direct
0.0465 0.2500 0.3684
0.2650 0.2500 0.9060
0.4227 0.2500 0.6356
0.5773 0.7500 0.3644
0.7350 0.7500 0.0940
0.9535 0.7500 0.6316
0.2422 0.7500 0.1489
0.7578 0.2500 0.8511
0.2687 0.7500 0.7486
0.3868 0.2500 0.4356
0.6132 0.7500 0.5644
0.7313 0.2500 0.2514
```

=====

Record 2
Computed X-ray powder pattern of VZn2GeH for a wavelength of 1.5418 Å, from a cell relaxed with PBE.
Peak positions follow from Bragg's law for the DFT cell and can differ from measured ones.

Largest 10 diffraction maxima, by angle, 2θ = 10–90°:
27.41°, intensity 39; 32.91°, intensity 55; 36.20°, intensity 100; 37.70°, intensity 35; 46.00°, intensity 39; 49.73°, intensity 33; 52.13°, intensity 34; 59.89°, intensity 18; 69.02°, intensity 27; 80.51°, intensity 17

Structure:
```
VZn2GeH
1.0
4.9627 0.0000 0.0000
0.0000 4.9627 0.0000
0.0000 0.0000 3.2542
V Zn Ge H
1 2 1 1
Direct
0.0000 0.0000 0.0000
0.0000 0.5000 0.5000
0.5000 0.0000 0.5000
0.5000 0.5000 0.5000
0.5000 0.5000 0.0000
```

=====

Record 3
Computed X-ray powder pattern of YGe2H for a wavelength of 1.5418 Å, from a cell relaxed with PBE.
Peak positions follow from Bragg's law for the DFT cell and can differ from measured ones.

Largest 10 diffraction maxima, by angle, 2θ = 10–90°:
29.10°, intensity 47; 29.72°, intensity 100; 34.34°, intensity 15; 38.13°, intensity 60; 39.43°, intensity 92; 44.61°, intensity 32; 60.33°, intensity 39; 61.73°, intensity 14; 64.92°, intensity 21; 72.36°, intensity 26

Structure:
```
YGe2H
1.0
-2.6118 2.6118 5.5122
2.6118 -2.6118 5.5122
2.6118 2.6118 -5.5122
Y Ge H
2 4 2
Direct
0.0000 0.0000 0.0000
0.7500 0.2500 0.5000
0.3718 0.6250 0.2468
0.3750 0.6218 0.7468
0.3782 0.1250 0.7532
0.8750 0.6282 0.2532
0.2500 0.7500 0.5000
0.5000 0.5000 0.0000
```

=====

Record 4
Computed X-ray powder pattern of ZnGe2H2 for a wavelength of 1.5418 Å, from a cell relaxed with PBE.
Peak positions follow from Bragg's law for the DFT cell and can differ from measured ones.

Largest 10 diffraction maxima, by angle, 2θ = 10–90°:
24.24°, intensity 36; 27.57°, intensity 16; 39.39°, intensity 54; 40.46°, intensity 100; 46.79°, intensity 12; 56.92°, intensity 18; 64.34°, intensity 8; 72.14°, intensity 34; 74.30°, intensity 15; 87.51°, intensity 10

Structure:
```
ZnGe2H2
1.0
-2.2877 2.2877 3.0765
2.2877 -2.2877 3.0765
2.2877 2.2877 -3.0765
Zn Ge H
1 2 2
Direct
0.0000 0.0000 0.0000
0.2500 0.7500 0.5000
0.7500 0.2500 0.5000
0.4372 0.4372 0.0000
0.5628 0.5628 0.0000
```

=====

Please write out number 3 again, unchanged.
Computed X-ray powder pattern of YGe2H for a wavelength of 1.5418 Å, from a cell relaxed with PBE.
Peak positions follow from Bragg's law for the DFT cell and can differ from measured ones.

Largest 10 diffraction maxima, by angle, 2θ = 10–90°:
29.10°, intensity 47; 29.72°, intensity 100; 34.34°, intensity 15; 38.13°, intensity 60; 39.43°, intensity 92; 44.61°, intensity 32; 60.33°, intensity 39; 61.73°, intensity 14; 64.92°, intensity 21; 72.36°, intensity 26

Structure:
```
YGe2H
1.0
-2.6118 2.6118 5.5122
2.6118 -2.6118 5.5122
2.6118 2.6118 -5.5122
Y Ge H
2 4 2
Direct
0.0000 0.0000 0.0000
0.7500 0.2500 0.5000
0.3718 0.6250 0.2468
0.3750 0.6218 0.7468
0.3782 0.1250 0.7532
0.8750 0.6282 0.2532
0.2500 0.7500 0.5000
0.5000 0.5000 0.0000
```